[1]
For Ta2MnRe2Se8, a PBE-relaxed structure gives the computed PXRD pattern in this record (Cu Kα X-rays).
Peak positions follow from Bragg's law for the DFT cell and can differ from measured ones.

Structure:
Cell lengths 3.462, 3.462, 26.423 Å; angles 90.00, 90.00, 120.00 degrees
Element x y z (fractional)
Ta  0.000  0.000  0.000
Ta  0.000  0.000  0.495
Mn  0.000  0.000  0.868
Re  0.000  0.000  0.250
Re  0.000  0.000  0.742
Se  0.333  0.667  0.191
Se  0.333  0.667  0.309
Se  0.333  0.667  0.685
Se  0.333  0.667  0.808
Se  0.667  0.333  0.063
Se  0.667  0.333  0.432
Se  0.667  0.333  0.559
Se  0.667  0.333  0.935

Principal peaks in the range 15 to 90 degrees two-theta, by angle:
two_theta  intensity
30.57  29
32.80  67
40.64  100
52.89  39
68.76  21
80.35  21


[2]
For Tb2Mn16Re, a PBE-relaxed structure gives the computed PXRD pattern in this record (Cu Kα X-rays).
Peak positions follow from Bragg's law for the DFT cell and can differ from measured ones.

Structure:
Cell lengths 6.363, 6.363, 6.363 Å; angles 86.03, 86.03, 86.03 degrees
Element x y z (fractional)
Tb  0.000  0.000  0.000
Tb  0.289  0.289  0.289
Mn  0.002  0.002  0.518
Mn  0.002  0.518  0.002
Mn  0.142  0.644  0.644
Mn  0.288  0.288  0.767
Mn  0.288  0.767  0.288
Mn  0.365  0.641  0.919
Mn  0.365  0.919  0.641
Mn  0.518  0.002  0.002
Mn  0.540  0.540  0.540
Mn  0.641  0.365  0.919
Mn  0.641  0.919  0.365
Mn  0.644  0.142  0.644
Mn  0.644  0.644  0.142
Mn  0.767  0.288  0.288
Mn  0.919  0.365  0.641
Mn  0.919  0.641  0.365
Re  0.743  0.743  0.743

Principal peaks in the range 15 to 90 degrees two-theta, by angle:
two_theta  intensity
20.46  40
35.83  65
38.89  75
41.61  100
42.83  76
44.33  47


[3]
For MnTl2Re, a PBE-relaxed structure gives the computed PXRD pattern in this record (Cu Kα X-rays).
Peak positions follow from Bragg's law for the DFT cell and can differ from measured ones.

Structure:
Cell lengths 2.995, 3.021, 8.829 Å; angles 90.00, 99.68, 90.00 degrees
Element x y z (fractional)
Mn  0.000  0.000  0.000
Tl  0.200  0.000  0.406
Tl  0.381  0.500  0.755
Re  0.571  0.500  0.143

Principal peaks in the range 15 to 90 degrees two-theta, by angle:
two_theta  intensity
30.28  61
30.82  67
31.34  45
36.20  100
39.70  100
42.83  94


[4]
For Mn4Rh5, a PBE-relaxed structure gives the computed PXRD pattern in this record (Cu Kα X-rays).
Peak positions follow from Bragg's law for the DFT cell and can differ from measured ones.

Structure:
Cell lengths 7.443, 7.443, 5.267 Å; angles 90.00, 90.00, 120.00 degrees
Element x y z (fractional)
Mn  0.000  0.000  0.000
Mn  0.000  0.000  0.500
Mn  0.000  0.356  0.250
Mn  0.000  0.644  0.750
Mn  0.356  0.000  0.250
Mn  0.356  0.356  0.750
Mn  0.644  0.000  0.750
Mn  0.644  0.644  0.250
Rh  0.000  0.308  0.750
Rh  0.000  0.692  0.250
Rh  0.308  0.000  0.750
Rh  0.308  0.308  0.250
Rh  0.333  0.667  0.000
Rh  0.333  0.667  0.500
Rh  0.667  0.333  0.000
Rh  0.667  0.333  0.500
Rh  0.692  0.000  0.250
Rh  0.692  0.692  0.750

Principal peaks in the range 15 to 90 degrees two-theta, by angle:
two_theta  intensity
29.39  8
40.81  5
42.04  100
60.97  15
76.83  20
86.74  12


[5]
For MnRh3, a PBE-relaxed structure gives the computed PXRD pattern in this record (Cu Kα X-rays).
Peak positions follow from Bragg's law for the DFT cell and can differ from measured ones.

Structure:
Cell lengths 2.750, 3.745, 5.426 Å; angles 90.00, 90.61, 90.00 degrees
Element x y z (fractional)
Mn  0.000  0.000  0.000
Rh  0.000  0.000  0.500
Rh  0.493  0.500  0.247
Rh  0.507  0.500  0.753

Principal peaks in the range 15 to 90 degrees two-theta, by angle:
two_theta  intensity
40.71  100
41.08  97
46.79  33
47.32  32
48.63  30
83.19  24


[6]
For Mn3Rh4, a PBE-relaxed structure gives the computed PXRD pattern in this record (Cu Kα X-rays).
Peak positions follow from Bragg's law for the DFT cell and can differ from measured ones.

Structure:
Cell lengths 12.419, 12.419, 12.419 Å; angles 167.16, 167.16, 18.20 degrees
Element x y z (fractional)
Mn  0.000  0.000  0.000
Mn  0.283  0.283  0.000
Mn  0.717  0.717  0.000
Rh  0.151  0.151  0.000
Rh  0.430  0.430  0.000
Rh  0.570  0.570  0.000
Rh  0.849  0.849  0.000

Principal peaks in the range 15 to 90 degrees two-theta, by angle:
two_theta  intensity
41.48  100
46.21  38
52.22  11
67.42  12
72.26  15
82.35  27


[7]
For Mn8Rh, a PBE-relaxed structure gives the computed PXRD pattern in this record (Cu Kα X-rays).
Peak positions follow from Bragg's law for the DFT cell and can differ from measured ones.

Structure:
Cell lengths 5.810, 5.810, 5.810 Å; angles 95.27, 95.27, 144.70 degrees
Element x y z (fractional)
Mn  0.000  0.340  0.340
Mn  0.000  0.660  0.660
Mn  0.331  0.331  0.662
Mn  0.331  0.669  0.000
Mn  0.340  0.000  0.340
Mn  0.660  0.000  0.660
Mn  0.669  0.331  0.000
Mn  0.669  0.669  0.338
Rh  0.000  0.000  0.000

Principal peaks in the range 15 to 90 degrees two-theta, by angle:
two_theta  intensity
43.13  100
49.38  34
51.90  14
72.42  9
74.45  17
88.17  22


[8]
For MnRuRh, a PBE-relaxed structure gives the computed PXRD pattern in this record (Cu Kα X-rays).
Peak positions follow from Bragg's law for the DFT cell and can differ from measured ones.

Structure:
Cell lengths 4.653, 4.653, 4.653 Å; angles 146.42, 132.93, 59.05 degrees
Element x y z (fractional)
Mn  0.000  0.000  0.000
Ru  0.343  0.343  0.000
Rh  0.669  0.669  0.000

Principal peaks in the range 15 to 90 degrees two-theta, by angle:
two_theta  intensity
41.35  100
41.46  100
47.75  65
49.03  30
70.85  38
84.67  24